Entry 1:
For Dy7HoTh3, the GGA-PBE geometry in Alexandria gives the theoretical XRD peak list in this record (a wavelength of 1.5418 Å).

Main lines, low angle first (2θ from 10° to 90°):
- d = 2.879 Å, 2θ = 31.06°, I 100.0
- d = 2.841 Å, 2θ = 31.49°, I 32.1
- d = 2.485 Å, 2θ = 36.15°, I 67.0
- d = 1.766 Å, 2θ = 51.77°, I 24.3
- d = 1.748 Å, 2θ = 52.32°, I 23.5
- d = 1.505 Å, 2θ = 61.61°, I 14.5
- d = 1.500 Å, 2θ = 61.86°, I 28.5
- d = 1.489 Å, 2θ = 62.36°, I 13.9

Atomic structure:
Lattice parameters (Å, degrees): 7.0639 7.0639 8.5236 90.00 90.00 120.00
Space group P3m1 (No. 156)
Symmetry-distinct sites (fractional):
Dy1 0.0000 0.0000 0.0000
Dy2 0.1654 0.3308 0.3411
Dy3 0.5013 0.0027 0.0035
Ho1 0.6667 0.3333 0.3441
Th1 0.3336 0.1668 0.6720

***

Entry 2:
For B4IrRh6, the GGA-PBE geometry in Alexandria gives the theoretical XRD peak list in this record (a wavelength of 1.5418 Å).

Main lines, low angle first (2θ from 10° to 90°):
- d = 2.773 Å, 2θ = 32.29°, I 21.9
- d = 2.701 Å, 2θ = 33.17°, I 15.7
- d = 2.492 Å, 2θ = 36.04°, I 31.0
- d = 2.442 Å, 2θ = 36.80°, I 30.2
- d = 2.226 Å, 2θ = 40.53°, I 100.0
- d = 1.865 Å, 2θ = 48.82°, I 16.1
- d = 1.684 Å, 2θ = 54.49°, I 14.0
- d = 1.257 Å, 2θ = 75.66°, I 16.1

Atomic structure:
Lattice parameters (Å, degrees): 7.4619 7.4619 5.4012 90.00 90.00 120.00
Space group P6_3mc (No. 186)
Symmetry-distinct sites (fractional):
B1 0.1808 0.3616 0.0000
B2 0.3333 0.6667 0.5302
Ir1 0.3333 0.6667 0.1647
Rh1 0.0781 0.5391 0.7547
Rh2 0.1230 0.2459 0.3706

***

Entry 3:
For Pr12Y7Cd, the GGA-PBE geometry in Alexandria gives the theoretical XRD peak list in this record (a wavelength of 1.5418 Å).

Main lines, low angle first (2θ from 10° to 90°):
- d = 8.290 Å, 2θ = 10.67°, I 25.0
- d = 5.862 Å, 2θ = 15.11°, I 25.7
- d = 3.384 Å, 2θ = 26.33°, I 94.6
- d = 2.931 Å, 2θ = 30.50°, I 100.0
- d = 2.500 Å, 2θ = 35.93°, I 24.6
- d = 2.073 Å, 2θ = 43.67°, I 59.7
- d = 1.767 Å, 2θ = 51.72°, I 22.3
- d = 1.489 Å, 2θ = 62.36°, I 23.5

Atomic structure:
Lattice parameters (Å, degrees): 11.7242 11.7242 11.7242 90.00 90.00 90.00
Space group Im-3 (No. 204)
Symmetry-distinct sites (fractional):
Pr1 0.0000 0.2236 0.2224
Y1 0.0000 0.0000 0.5000
Y2 0.2500 0.2500 0.2500
Cd1 0.0000 0.0000 0.0000

***

Entry 4:
For Pr3HfSb5, the GGA-PBE geometry in Alexandria gives the theoretical XRD peak list in this record (a wavelength of 1.5418 Å).

Main lines, low angle first (2θ from 10° to 90°):
- d = 2.817 Å, 2θ = 31.77°, I 60.7
- d = 2.779 Å, 2θ = 32.21°, I 84.9
- d = 2.632 Å, 2θ = 34.07°, I 100.0
- d = 2.170 Å, 2θ = 41.62°, I 13.7
- d = 1.911 Å, 2θ = 47.59°, I 31.3
- d = 1.745 Å, 2θ = 52.43°, I 16.0
- d = 1.575 Å, 2θ = 58.63°, I 18.7
- d = 1.368 Å, 2θ = 68.60°, I 18.9

Atomic structure:
Lattice parameters (Å, degrees): 9.6262 9.6262 6.2866 90.00 90.00 120.00
Space group P6_3/mcm (No. 193)
Symmetry-distinct sites (fractional):
Pr1 0.0000 0.3808 0.2500
Hf1 0.0000 0.0000 0.0000
Sb1 0.0000 0.2614 0.7500
Sb2 0.3333 0.6667 0.0000